Record 1
CaAcHg2: calculated X-ray powder pattern (a wavelength of 1.5418 Å), based on a DFT-relaxed cell (PBE, the Materials Project).

Peak list (8 most intense, 10 to 90 degrees two-theta, most intense first)
d_spacing	Rel. int.	(hkl)
2.790	1000	2 2 0
1.611	394	4 2 2
1.973	187	4 0 0
1.248	172	6 2 0
4.556	156	1 1 1
1.395	123	4 4 0
2.379	94	3 1 1
3.946	50	2 0 0

Cell and atoms:
Cell lengths 7.8917, 7.8917, 7.8917 Å; angles 90.00, 90.00, 90.00 degrees
Space group Fm-3m (No. 225)
Asymmetric unit:
Ca1 0.0000 0.0000 0.0000 (multiplicity 4)
Ac1 0.0000 0.0000 0.5000 (multiplicity 4)
Hg1 0.2500 0.2500 0.2500 (multiplicity 8)

***

Record 2
KPrP4O12: calculated X-ray powder pattern (a wavelength of 1.5418 Å), based on a DFT-relaxed cell (PBE, the Materials Project).

Peak list (8 most intense, 10 to 90 degrees two-theta, most intense first)
d_spacing	Rel. int.	(hkl)
3.514	1000	1 1 2
3.258	962	1 3 -2
5.382	948	0 2 1
4.732	570	1 1 -2
6.388	492	1 1 -1
2.429	413	2 4 0
3.294	358	1 3 1
3.697	353	2 0 -2

Cell and atoms:
Cell lengths 8.0318, 12.7080, 10.7941 Å; angles 90.00, 110.27, 90.00 degrees
Space group C2/c (No. 15)
Asymmetric unit:
K1 0.0000 0.1839 0.2500 (multiplicity 4)
Pr1 0.0000 0.1211 0.7500 (multiplicity 4)
P1 0.0427 0.3307 0.0003 (multiplicity 8)
P2 0.2177 0.4773 0.4445 (multiplicity 8)
O1 0.0574 0.2479 0.5961 (multiplicity 8)
O2 0.0740 0.4276 0.9155 (multiplicity 8)
O3 0.0916 0.3757 0.4290 (multiplicity 8)
O4 0.1563 0.0149 0.4153 (multiplicity 8)
O5 0.2068 0.2999 0.1129 (multiplicity 8)
O6 0.2141 0.0265 0.6675 (multiplicity 8)

***

Record 3
Zr3Cd: calculated X-ray powder pattern (a wavelength of 1.5418 Å), based on a DFT-relaxed cell (PBE, the Materials Project).

Peak list (8 most intense, 10 to 90 degrees two-theta, most intense first)
d_spacing	Rel. int.	(hkl)
2.580	1000	1 1 1
2.234	491	2 0 0
1.347	368	3 1 1
1.580	320	2 2 0
1.290	106	2 2 2
1.117	51	4 0 0
4.469	8	1 0 0
3.160	8	1 1 0

Cell and atoms:
Cell lengths 4.4687, 4.4687, 4.4687 Å; angles 90.00, 90.00, 90.00 degrees
Space group Pm-3m (No. 221)
Asymmetric unit:
Zr1 0.0000 0.0000 0.5000 (multiplicity 3)
Cd1 0.5000 0.5000 0.5000 (multiplicity 1)

***

Record 4
Tb3Th: calculated X-ray powder pattern (a wavelength of 1.5418 Å), based on a DFT-relaxed cell (PBE, the Materials Project).

Peak list (8 most intense, 10 to 90 degrees two-theta, most intense first)
d_spacing	Rel. int.	(hkl)
2.736	1000	2 0 1
2.919	264	0 0 2
3.097	232	2 0 0
1.525	230	2 2 2
1.648	227	2 0 3
1.788	193	2 2 0
1.497	166	4 0 1
2.124	163	2 0 2

Cell and atoms:
Cell lengths 7.1512, 7.1512, 5.8385 Å; angles 90.00, 90.00, 120.00 degrees
Space group P6_3/mmc (No. 194)
Asymmetric unit:
Tb1 0.1672 0.3344 0.2500 (multiplicity 6)
Th1 0.3333 0.6667 0.7500 (multiplicity 2)

***

Record 5
CeGe2Au2: calculated X-ray powder pattern (a wavelength of 1.5418 Å), based on a DFT-relaxed cell (PBE, the Materials Project).

Peak list (8 most intense, 10 to 90 degrees two-theta, most intense first)
d_spacing	Rel. int.	(hkl)
2.697	1000	1 1 2
2.219	442	2 0 0
1.356	243	3 1 2
2.019	232	1 1 4
5.274	224	0 0 2
2.756	173	1 0 3
1.569	150	2 2 0
1.534	137	1 1 6

Cell and atoms:
Cell lengths 4.4372, 4.4372, 10.5485 Å; angles 90.00, 90.00, 90.00 degrees
Space group I4/mmm (No. 139)
Asymmetric unit:
Ce1 0.0000 0.0000 0.0000 (multiplicity 2)
Ge1 0.0000 0.0000 0.3851 (multiplicity 4)
Au1 0.0000 0.5000 0.2500 (multiplicity 4)

***

Record 6
Cd2SnO4: calculated X-ray powder pattern (a wavelength of 1.5418 Å), based on a DFT-relaxed cell (PBE, the Materials Project).

Peak list (8 most intense, 10 to 90 degrees two-theta, most intense first)
d_spacing	Rel. int.	(hkl)
2.814	1000	3 1 1
1.650	408	4 4 0
1.796	351	3 3 3
3.299	275	2 2 0
1.215	221	7 3 1
2.694	193	2 2 2
1.423	122	5 3 3
1.905	120	4 2 2

Cell and atoms:
Cell lengths 9.3318, 9.3318, 9.3318 Å; angles 90.00, 90.00, 90.00 degrees
Space group Fd-3m (No. 227, origin choice 2)
Asymmetric unit:
Cd1 0.0000 0.0000 0.0000 (multiplicity 16)
Sn1 0.1250 0.1250 0.6250 (multiplicity 8)
O1 0.0008 0.0008 0.7492 (multiplicity 32)

***

Record 7
Er2BiO2: calculated X-ray powder pattern (a wavelength of 1.5418 Å), based on a DFT-relaxed cell (PBE, the Materials Project).

Peak list (8 most intense, 10 to 90 degrees two-theta, most intense first)
d_spacing	Rel. int.	(hkl)
2.926	1000	1 0 3
2.725	363	1 1 0
1.609	347	2 1 3
1.734	243	1 1 6
1.927	171	2 0 0
1.463	115	2 0 6
1.131	114	2 1 9
1.397	107	1 0 9

Cell and atoms:
Cell lengths 3.8532, 3.8532, 13.4858 Å; angles 90.00, 90.00, 90.00 degrees
Space group I4/mmm (No. 139)
Asymmetric unit:
Er1 0.0000 0.0000 0.1694 (multiplicity 4)
Bi1 0.0000 0.0000 0.5000 (multiplicity 2)
O1 0.0000 0.5000 0.2500 (multiplicity 4)

***

Record 8
BaNaHg2: calculated X-ray powder pattern (a wavelength of 1.5418 Å), based on a DFT-relaxed cell (PBE, the Materials Project).

Peak list (8 most intense, 10 to 90 degrees two-theta, most intense first)
d_spacing	Rel. int.	(hkl)
2.851	1000	2 2 0
1.646	395	4 2 2
4.032	222	2 0 0
2.016	187	4 0 0
1.275	171	6 2 0
1.425	123	4 4 0
1.803	107	4 2 0
4.656	84	1 1 1

Cell and atoms:
Cell lengths 8.0638, 8.0638, 8.0638 Å; angles 90.00, 90.00, 90.00 degrees
Space group Fm-3m (No. 225)
Asymmetric unit:
Ba1 0.0000 0.0000 0.0000 (multiplicity 4)
Na1 0.0000 0.0000 0.5000 (multiplicity 4)
Hg1 0.2500 0.2500 0.2500 (multiplicity 8)

***

Record 9
LaYTi2O6: calculated X-ray powder pattern (a wavelength of 1.5418 Å), based on a DFT-relaxed cell (PBE, the Materials Project).

Peak list (8 most intense, 10 to 90 degrees two-theta, most intense first)
d_spacing	Rel. int.	(hkl)
2.781	1000	2 1 1
1.590	351	2 3 1
2.739	249	0 2 0
1.977	228	0 2 2
3.529	222	1 1 1
2.855	204	0 0 2
1.753	201	1 1 3
1.956	162	4 0 0

Cell and atoms:
Cell lengths 7.8233, 5.4784, 5.7110 Å; angles 90.00, 90.00, 90.00 degrees
Space group Pmc2_1 (No. 26)
Asymmetric unit:
La1 0.0000 0.2356 0.0000 (multiplicity 2)
Y1 0.5000 0.2635 0.1232 (multiplicity 2)
Ti1 0.2556 0.2494 0.5562 (multiplicity 4)
O1 0.0000 0.3290 0.5712 (multiplicity 2)
O2 0.2109 0.0541 0.2556 (multiplicity 4)
O3 0.3091 0.4472 0.8551 (multiplicity 4)
O4 0.5000 0.1368 0.5147 (multiplicity 2)

***

Record 10
K2PdF6: calculated X-ray powder pattern (a wavelength of 1.5418 Å), based on a DFT-relaxed cell (PBE, the Materials Project).

Peak list (8 most intense, 10 to 90 degrees two-theta, most intense first)
d_spacing	Rel. int.	(hkl)
3.523	1000	1 0 1
2.265	697	0 2 1
5.120	661	1 0 0
2.956	439	1 1 0
1.762	308	0 2 2
4.856	301	0 0 1
2.194	268	0 1 2
1.798	258	2 1 1

Cell and atoms:
Cell lengths 5.9124, 5.9124, 4.8559 Å; angles 90.00, 90.00, 120.00 degrees
Space group P-3m1 (No. 164)
Asymmetric unit:
K1 0.3333 0.6667 0.2191 (multiplicity 2)
Pd1 0.0000 0.0000 0.5000 (multiplicity 1)
F1 0.1601 0.3202 0.7202 (multiplicity 6)

***

Copy entry 5 word for word.
CeGe2Au2: calculated X-ray powder pattern (a wavelength of 1.5418 Å), based on a DFT-relaxed cell (PBE, the Materials Project).

Peak list (8 most intense, 10 to 90 degrees two-theta, most intense first)
d_spacing	Rel. int.	(hkl)
2.697	1000	1 1 2
2.219	442	2 0 0
1.356	243	3 1 2
2.019	232	1 1 4
5.274	224	0 0 2
2.756	173	1 0 3
1.569	150	2 2 0
1.534	137	1 1 6

Cell and atoms:
Cell lengths 4.4372, 4.4372, 10.5485 Å; angles 90.00, 90.00, 90.00 degrees
Space group I4/mmm (No. 139)
Asymmetric unit:
Ce1 0.0000 0.0000 0.0000 (multiplicity 2)
Ge1 0.0000 0.0000 0.3851 (multiplicity 4)
Au1 0.0000 0.5000 0.2500 (multiplicity 4)